No. 1
Diffraction record for As6C7. The X-ray diffraction stick pattern is simulated, not measured: it uses a PBE-relaxed structure and Cu Kα.
Lines closer than 0.1° are merged.

Crystal structure
Lattice parameters (Å, degrees): 4.6219 4.6219 34.7519 90.00 90.00 120.00
Space group R-3m (No. 166, hexagonal axes)
Asymmetric unit:
As 0.0000 0.0000 0.0940 [6 per cell]
As 0.0000 0.0000 0.1673 [6 per cell]
As 0.0000 0.0000 0.3254 [6 per cell]
C 0.0000 0.0000 0.5000 [3 per cell]
C 0.1046 0.2091 0.4339 [18 per cell]

Most intense lines, 2θ from 15° to 90°, by intensity:
- 38.97 deg, I = 100, hkl 1 1 0
- 24.49 deg, I = 73, hkl 1 0 4
- 50.53 deg, I = 65, hkl 1 1 12
- 30.88 deg, I = 49, hkl 0 0 12
- 30.37 deg, I = 46, hkl 0 1 8
- 25.68 deg, I = 36, hkl 0 1 5
- 42.87 deg, I = 20, hkl 0 1 14
- 42.10 deg, I = 19, hkl 1 1 6


No. 2
Diffraction record for PaH8PdPt2. The X-ray diffraction stick pattern is simulated, not measured: it uses a PBE-relaxed structure and Cu Kα.
Lines closer than 0.1° are merged.

Crystal structure
Lattice parameters (Å, degrees): 4.9612 4.9612 6.0907 90.00 90.00 120.00
Space group P-3m1 (No. 164)
Asymmetric unit:
Pa 0.0000 0.0000 0.0000 [1 per cell]
H 0.1642 0.3284 0.3210 [6 per cell]
H 0.3333 0.6667 0.8561 [2 per cell]
Pd 0.0000 0.0000 0.5000 [1 per cell]
Pt 0.3333 0.6667 0.1209 [2 per cell]

Most intense lines, 2θ from 15° to 90°, by intensity:
- 36.19 deg, I = 100, hkl 1 1 0
- 25.37 deg, I = 28, hkl 1 0 1
- 39.21 deg, I = 27, hkl 1 1 1
- 65.11 deg, I = 27, hkl 3 0 0
- 52.10 deg, I = 17, hkl 2 0 2
- 47.26 deg, I = 13, hkl 1 1 2
- 64.98 deg, I = 11, hkl 0 1 4
- 49.67 deg, I = 11, hkl 0 1 3